Entry 1:
Diffraction record for Dy5Y3Tm4. The powder XRD pattern is theoretical, not measured: it uses a DFT-relaxed cell (GGA-PBE, Alexandria) and Cu Kα, 1.54184 Å.
No peak broadening, texture or thermal motion is included.

The 12 most intense peaks (2θ from 15° to 90°), by angle:
| 2θ (°) | d (Å) | I (rel.) |
| --- | --- | --- |
| 31.02 | 2.883 | 100 |
| 35.97 | 2.497 | 50 |
| 51.77 | 1.766 | 30 |
| 51.86 | 1.763 | 6 |
| 61.58 | 1.506 | 32 |
| 61.67 | 1.504 | 11 |
| 64.61 | 1.443 | 6 |
| 64.72 | 1.440 | 6 |
| 84.51 | 1.146 | 7 |
| 84.63 | 1.145 | 6 |
| 87.26 | 1.117 | 7 |
| 87.36 | 1.116 | 7 |

Structural model:
```
12
Lattice="6.116 0.000 0.000 0.009 7.069 0.000 0.011 0.002 8.639" Properties=species:S:1:pos:R:3 pbc="T T T"
Dy 0.000 0.000 0.000
Dy 2.058 3.536 5.758
Dy 3.049 1.757 0.006
Dy 3.087 5.314 8.633
Dy 4.078 3.534 2.881
Y 0.005 3.534 0.000
Y 1.027 5.310 2.895
Y 5.109 1.760 5.744
Tm 1.031 1.763 2.892
Tm 2.059 7.066 5.762
Tm 4.077 0.004 2.877
Tm 5.105 5.307 5.747
```


Entry 2:
Diffraction record for Dy5Y3Tm. The powder XRD pattern is theoretical, not measured: it uses a DFT-relaxed cell (GGA-PBE, Alexandria) and Cu Kα, 1.54184 Å.
No peak broadening, texture or thermal motion is included.

The 12 most intense peaks (2θ from 15° to 90°), by angle:
| 2θ (°) | d (Å) | I (rel.) |
| --- | --- | --- |
| 16.16 | 5.486 | 19 |
| 16.75 | 5.292 | 26 |
| 28.21 | 3.163 | 27 |
| 28.34 | 3.149 | 15 |
| 30.33 | 2.947 | 29 |
| 31.19 | 2.868 | 57 |
| 31.95 | 2.801 | 71 |
| 32.52 | 2.753 | 100 |
| 34.72 | 2.584 | 41 |
| 35.63 | 2.520 | 14 |
| 47.98 | 1.896 | 14 |
| 55.91 | 1.645 | 13 |

Structural model:
```
18
Lattice="9.046 -3.149 0.000 9.046 3.149 0.000 -4.218 0.000 10.584" Properties=species:S:1:pos:R:3 pbc="T T T"
Dy 4.779 1.800 3.051
Dy 5.883 2.501 7.938
Dy 3.314 1.133 6.632
Dy 11.205 1.800 2.241
Dy 8.451 1.133 9.243
Dy 5.423 -1.133 1.340
Dy 2.670 -1.800 8.343
Dy 10.560 -1.133 3.951
Dy 7.992 -2.501 2.646
Dy 9.096 -1.800 7.533
Y 2.015 1.951 10.438
Y 9.751 1.951 5.437
Y 9.046 0.000 0.000
Y 6.937 0.000 5.292
Y 4.124 -1.951 5.146
Y 11.860 -1.951 0.145
Tm 7.992 0.772 2.646
Tm 5.883 -0.772 7.938
```


Entry 3:
Diffraction record for DyY5Tm4. The powder XRD pattern is theoretical, not measured: it uses a DFT-relaxed cell (GGA-PBE, Alexandria) and Cu Kα, 1.54184 Å.
No peak broadening, texture or thermal motion is included.

The 12 most intense peaks (2θ from 15° to 90°), by angle:
| 2θ (°) | d (Å) | I (rel.) |
| --- | --- | --- |
| 30.88 | 2.895 | 88 |
| 31.62 | 2.830 | 100 |
| 33.13 | 2.704 | 46 |
| 33.47 | 2.677 | 43 |
| 34.54 | 2.597 | 18 |
| 41.59 | 2.172 | 16 |
| 47.81 | 1.903 | 31 |
| 57.79 | 1.595 | 15 |
| 58.24 | 1.584 | 17 |
| 59.12 | 1.563 | 18 |
| 62.32 | 1.490 | 26 |
| 63.25 | 1.470 | 14 |

Structural model:
```
10
Lattice="5.408 0.000 0.000 0.004 7.008 0.000 2.691 0.006 8.301" Properties=species:S:1:pos:R:3 pbc="T T T"
Dy 0.000 0.000 0.000
Y 2.699 3.484 4.989
Y 2.702 5.243 1.843
Y 5.402 5.254 6.485
Y 5.401 0.003 3.333
Y 5.409 3.481 0.027
Tm 2.697 0.005 5.008
Tm 2.699 1.748 1.841
Tm 5.400 1.738 6.488
Tm 5.402 3.482 3.327
```


Entry 4:
Diffraction record for DyY12Tm2. The powder XRD pattern is theoretical, not measured: it uses a DFT-relaxed cell (GGA-PBE, Alexandria) and Cu Kα, 1.54184 Å.
No peak broadening, texture or thermal motion is included.

The 12 most intense peaks (2θ from 15° to 90°), by angle:
| 2θ (°) | d (Å) | I (rel.) |
| --- | --- | --- |
| 26.59 | 3.352 | 13 |
| 29.92 | 2.987 | 13 |
| 30.99 | 2.886 | 34 |
| 31.54 | 2.837 | 42 |
| 32.10 | 2.788 | 100 |
| 33.92 | 2.643 | 13 |
| 34.42 | 2.605 | 14 |
| 47.75 | 1.905 | 14 |
| 50.07 | 1.822 | 12 |
| 56.52 | 1.628 | 20 |
| 58.35 | 1.581 | 13 |
| 60.39 | 1.533 | 13 |

Structural model:
```
30
Lattice="3.644 -5.674 0.000 3.644 5.674 0.000 -1.808 0.000 23.464" Properties=species:S:1:pos:R:3 pbc="T T T"
Dy 0.012 0.000 23.463
Dy 5.467 0.000 0.001
Y -0.003 0.000 3.452
Y 1.824 2.838 4.530
Y 0.000 0.000 9.927
Y 1.825 2.838 10.383
Y 1.837 2.835 15.924
Y 1.827 2.832 21.908
Y 3.652 2.832 1.555
Y 3.643 2.835 7.540
Y 3.655 2.838 13.081
Y 1.836 0.000 13.536
Y 3.655 2.838 18.933
Y 1.839 0.000 20.003
Y 3.640 0.000 3.461
Y 1.824 -2.838 4.530
Y 3.643 0.000 9.928
Y 1.825 -2.838 10.383
Y 1.837 -2.835 15.924
Y 1.827 -2.832 21.908
Y 3.652 -2.832 1.555
Y 3.643 -2.835 7.540
Y 3.655 -2.838 13.081
Y 5.479 0.000 13.537
Y 3.655 -2.838 18.933
Y 5.482 0.000 20.012
Tm 0.015 0.000 16.794
Tm 1.818 0.000 6.669
Tm 3.661 0.000 16.795
Tm 5.464 0.000 6.670
```